No. 1
For Y2ErSi2Pt7, a structure optimized by DFT (GGA-PBE) gives the simulated X-ray diffraction stick pattern in this record (copper Kα).

Principal peaks in the range 2θ from 10° to 90°, by angle:
| d [Å] | I_rel |
| --- | --- |
| 2.780 | 27 |
| 2.721 | 36 |
| 2.621 | 59 |
| 2.585 | 68 |
| 2.483 | 84 |
| 2.407 | 100 |
| 2.015 | 90 |
| 2.005 | 34 |
| 1.334 | 25 |
| 1.244 | 28 |

Cell and atoms:
a b c (Å): 4.0335 4.0335 13.7639
angles (deg): 96.21 96.21 89.51
Fractional coordinates of all 12 atoms:
1 Y 0.1170 0.1170 0.3557
2 Y 0.8830 0.8830 0.6443
3 Er 0.0000 0.0000 0.0000
4 Si 0.4049 0.4049 0.7429
5 Si 0.5951 0.5951 0.2571
6 Pt 0.0598 0.5594 0.1604
7 Pt 0.3661 0.3661 0.5719
8 Pt 0.4406 0.9402 0.8396
9 Pt 0.5000 0.5000 0.0000
10 Pt 0.5594 0.0598 0.1604
11 Pt 0.6339 0.6339 0.4281
12 Pt 0.9402 0.4406 0.8396

---

No. 2
For Na2Ga2Ag5, a structure optimized by DFT (GGA-PBE) gives the simulated X-ray diffraction stick pattern in this record (copper Kα).

Principal peaks in the range 2θ from 10° to 90°, by angle:
| d [Å] | I_rel |
| --- | --- |
| 8.423 | 24 |
| 4.701 | 36 |
| 4.211 | 26 |
| 2.609 | 100 |
| 2.410 | 18 |
| 2.351 | 78 |
| 2.145 | 58 |
| 1.662 | 25 |
| 1.402 | 26 |
| 1.314 | 23 |

Cell and atoms:
a b c (Å): 4.7012 4.7012 8.4229
angles (deg): 90.00 90.00 90.00
Fractional coordinates of all 9 atoms:
1 Na 0.0000 0.0000 0.0000
2 Na 0.0000 0.0000 0.5000
3 Ga 0.5000 0.5000 0.1484
4 Ga 0.5000 0.5000 0.8516
5 Ag 0.0000 0.5000 0.2862
6 Ag 0.0000 0.5000 0.7138
7 Ag 0.5000 0.0000 0.2862
8 Ag 0.5000 0.0000 0.7138
9 Ag 0.5000 0.5000 0.5000

---

No. 3
For BiB2Ru, a structure optimized by DFT (GGA-PBE) gives the simulated X-ray diffraction stick pattern in this record (copper Kα).

Principal peaks in the range 2θ from 10° to 90°, by angle:
| d [Å] | I_rel |
| --- | --- |
| 4.624 | 13 |
| 2.987 | 100 |
| 2.598 | 15 |
| 2.582 | 31 |
| 1.831 | 26 |
| 1.825 | 13 |
| 1.565 | 15 |
| 1.558 | 29 |
| 1.494 | 12 |
| 1.188 | 12 |

Cell and atoms:
a b c (Å): 6.3509 6.3509 6.3509
angles (deg): 132.03 132.03 70.18
Fractional coordinates of all 8 atoms:
1 Bi 0.0000 0.0000 0.0000
2 Bi 0.7500 0.2500 0.5000
3 B 0.2150 0.6250 0.0900
4 B 0.3750 0.4650 0.5900
5 B 0.5350 0.1250 0.9100
6 B 0.8750 0.7850 0.4100
7 Ru 0.2500 0.7500 0.5000
8 Ru 0.5000 0.5000 0.0000

---

No. 4
For TbDy2Sb3, a structure optimized by DFT (GGA-PBE) gives the simulated X-ray diffraction stick pattern in this record (copper Kα).

Principal peaks in the range 2θ from 10° to 90°, by angle:
| d [Å] | I_rel |
| --- | --- |
| 3.584 | 3 |
| 3.104 | 100 |
| 2.195 | 76 |
| 1.872 | 2 |
| 1.792 | 27 |
| 1.552 | 13 |
| 1.424 | 1 |
| 1.388 | 35 |
| 1.267 | 26 |
| 1.097 | 9 |

Cell and atoms:
a b c (Å): 7.6029 7.6029 7.6029
angles (deg): 146.44 131.84 59.98
Fractional coordinates of all 6 atoms:
1 Tb 0.0000 0.0000 0.0000
2 Dy 0.3335 0.3335 0.0000
3 Dy 0.6665 0.6665 0.0000
4 Sb 0.1673 0.6673 0.5000
5 Sb 0.5000 0.0000 0.5000
6 Sb 0.8327 0.3327 0.5000

---

No. 5
For Sr2AlAg3Ge4, a structure optimized by DFT (GGA-PBE) gives the simulated X-ray diffraction stick pattern in this record (copper Kα).

Principal peaks in the range 2θ from 10° to 90°, by angle:
| d [Å] | I_rel |
| --- | --- |
| 4.067 | 20 |
| 2.896 | 60 |
| 2.715 | 100 |
| 2.170 | 66 |
| 2.114 | 37 |
| 2.055 | 44 |
| 1.736 | 26 |
| 1.534 | 21 |
| 1.492 | 31 |
| 1.336 | 21 |

Cell and atoms:
a b c (Å): 4.3391 4.3391 11.6637
angles (deg): 90.00 90.00 90.00
Fractional coordinates of all 10 atoms:
1 Sr 0.0000 0.5000 0.2486
2 Sr 0.5000 0.0000 0.7514
3 Al 0.5000 0.5000 0.0000
4 Ag 0.0000 0.0000 0.0000
5 Ag 0.0000 0.5000 0.6407
6 Ag 0.5000 0.0000 0.3593
7 Ge 0.0000 0.0000 0.5000
8 Ge 0.0000 0.5000 0.8645
9 Ge 0.5000 0.0000 0.1355
10 Ge 0.5000 0.5000 0.5000

---

No. 6
For LiMg6Cu5, a structure optimized by DFT (GGA-PBE) gives the simulated X-ray diffraction stick pattern in this record (copper Kα).

Principal peaks in the range 2θ from 10° to 90°, by angle:
| d [Å] | I_rel |
| --- | --- |
| 3.236 | 10 |
| 3.147 | 19 |
| 2.256 | 100 |
| 2.228 | 24 |
| 2.222 | 24 |
| 1.573 | 15 |
| 1.309 | 15 |
| 1.292 | 15 |
| 1.289 | 15 |
| 1.128 | 9 |

Cell and atoms:
a b c (Å): 7.0278 7.0278 6.4720
angles (deg): 90.00 90.00 143.03
Fractional coordinates of all 12 atoms:
1 Li 0.0000 0.0000 0.0000
2 Mg 0.1692 0.8308 0.2530
3 Mg 0.1692 0.8308 0.7470
4 Mg 0.5000 0.5000 0.2569
5 Mg 0.5000 0.5000 0.7431
6 Mg 0.8308 0.1692 0.2530
7 Mg 0.8308 0.1692 0.7470
8 Cu 0.0000 0.0000 0.5000
9 Cu 0.3335 0.6665 0.0000
10 Cu 0.3339 0.6661 0.5000
11 Cu 0.6661 0.3339 0.5000
12 Cu 0.6665 0.3335 0.0000